No. 1
U2Ga5Ni3: simulated powder diffraction line list (Cu Kα), based on a DFT-relaxed cell (GGA-PBE, Alexandria).

Crystal structure
Cell: 4.250 24.012 6.403 Å, 90.00 90.00 90.00°
Space group Cmc2_1 (No. 36)
Asymmetric unit:
U (0.000, 0.016, 0.000) (multiplicity 4)
U (0.000, 0.330, 0.041) (multiplicity 4)
Ga (0.000, 0.103, 0.340) (multiplicity 4)
Ga (0.000, 0.206, 0.849) (multiplicity 4)
Ga (0.000, 0.212, 0.254) (multiplicity 4)
Ga (0.000, 0.375, 0.514) (multiplicity 4)
Ga (0.000, 0.447, 0.184) (multiplicity 4)
Ni (0.000, 0.105, 0.746) (multiplicity 4)
Ni (0.000, 0.274, 0.556) (multiplicity 4)
Ni (0.000, 0.450, 0.784) (multiplicity 4)

Peak list (10 most intense, 5° ≤ 2θ ≤ 70°, low angle first)
(hkl)	2theta	d_spacing	I/Imax
1 3 0	23.7	3.754	27
0 6 2	35.9	2.500	27
1 7 1	36.5	2.464	62
1 3 2	36.9	2.436	100
1 9 0	39.9	2.259	36
0 10 1	40.1	2.248	27
2 0 0	42.5	2.125	37
2 6 2	56.9	1.619	14
2 10 1	59.9	1.545	17
0 16 1	63.7	1.461	16

No. 2
V6GaNi2: simulated powder diffraction line list (Cu Kα), based on a DFT-relaxed cell (GGA-PBE, Alexandria).

Crystal structure
Cell: 6.536 12.356 2.973 Å, 90.00 100.95 90.00°
Space group C2/m (No. 12)
Asymmetric unit:
V (0.162, 0.000, 0.347) (multiplicity 4)
V (0.171, 0.163, 0.819) (multiplicity 8)
Ga (0.000, 0.500, 0.000) (multiplicity 2)
Ni (0.000, 0.337, 0.500) (multiplicity 4)

Peak list (10 most intense, 5° ≤ 2θ ≤ 70°, low angle first)
(hkl)	2theta	d_spacing	I/Imax
2 0 -1	37.5	2.398	7
2 2 -1	40.3	2.235	48
1 3 1	42.5	2.128	100
3 1 0	42.9	2.108	46
0 6 0	44.0	2.059	45
3 3 0	47.9	1.898	7
2 4 -1	48.0	1.894	36
3 5 0	56.9	1.617	14
1 1 -2	63.0	1.475	13
3 7 0	69.0	1.361	12

No. 3
V2Ga2Ni5: simulated powder diffraction line list (Cu Kα), based on a DFT-relaxed cell (GGA-PBE, Alexandria).

Crystal structure
Cell: 5.007 7.345 12.573 Å, 90.00 90.00 90.00°
Space group Fmmm (No. 69)
Asymmetric unit:
V (0.000, 0.000, 0.248) (multiplicity 8)
Ga (0.000, 0.166, 0.500) (multiplicity 8)
Ni (0.000, 0.000, 0.000) (multiplicity 4)
Ni (0.250, 0.250, 0.154) (multiplicity 16)

Peak list (10 most intense, 5° ≤ 2θ ≤ 70°, low angle first)
(hkl)	2theta	d_spacing	I/Imax
0 2 0	24.2	3.672	32
0 2 4	37.7	2.388	60
2 0 2	38.7	2.326	28
1 3 1	41.7	2.166	49
0 0 6	43.2	2.096	28
2 2 0	43.8	2.069	57
2 2 2	46.2	1.965	30
2 0 4	46.4	1.958	100
1 3 3	46.6	1.947	33
0 2 6	50.1	1.820	34

No. 4
V3GaNi: simulated powder diffraction line list (Cu Kα), based on a DFT-relaxed cell (GGA-PBE, Alexandria).

Crystal structure
Cell: 8.263 7.176 4.877 Å, 90.00 90.00 90.00°
Space group Ima2 (No. 46)
Asymmetric unit:
V (0.003, 0.225, 0.000) (multiplicity 8)
V (0.250, 0.151, 0.243) (multiplicity 4)
Ga (0.250, 0.002, 0.743) (multiplicity 4)
Ni (0.250, 0.672, 0.776) (multiplicity 4)

Peak list (10 most intense, 5° ≤ 2θ ≤ 70°, low angle first)
(hkl)	2theta	d_spacing	I/Imax
2 0 0	21.5	4.132	30
0 2 0	24.8	3.588	16
2 2 0	33.1	2.709	36
0 3 1	42.1	2.148	48
2 0 2	43.1	2.100	100
4 0 0	43.8	2.066	49
0 2 2	44.9	2.017	15
2 3 1	47.7	1.906	67
4 3 1	62.4	1.489	28
4 2 2	64.6	1.443	11

No. 5
Y2Ga2Ni15: simulated powder diffraction line list (Cu Kα), based on a DFT-relaxed cell (GGA-PBE, Alexandria).

Crystal structure
Cell: 8.3330 8.3330 12.2723 Å, 90.00 90.00 120.00°
Space group R-3m (No. 166, hexagonal axes)
Asymmetric unit:
Y (0.0000, 0.0000, 0.1511) (multiplicity 6)
Ga (0.0000, 0.0000, 0.3967) (multiplicity 6)
Ni (0.0000, 0.2974, 0.5000) (multiplicity 18)
Ni (0.0000, 0.5000, 0.0000) (multiplicity 9)
Ni (0.0015, 0.5007, 0.3458) (multiplicity 18)

Peak list (10 most intense, 5° ≤ 2θ ≤ 70°, low angle first)
(hkl)	2theta	d_spacing	I/Imax
3 0 0	37.4	2.406	41
0 2 4	38.5	2.337	35
2 2 0	43.4	2.083	68
3 0 3	43.7	2.074	100
0 0 6	44.3	2.045	37
2 1 4	44.4	2.038	18
2 0 5	44.7	2.029	16
2 2 3	49.1	1.856	65
1 1 6	49.7	1.836	17
2 2 6	63.8	1.460	13

No. 6
Y2Ga3Ni: simulated powder diffraction line list (Cu Kα), based on a DFT-relaxed cell (GGA-PBE, Alexandria).

Crystal structure
Cell: 4.2706 4.2706 7.6092 Å, 90.00 90.00 120.00°
Space group P3m1 (No. 156)
Asymmetric unit:
Y (0.0000, 0.0000, 0.0000) (multiplicity 1)
Y (0.0000, 0.0000, 0.4652) (multiplicity 1)
Ga (0.3333, 0.6667, 0.2402) (multiplicity 1)
Ga (0.3333, 0.6667, 0.6907) (multiplicity 1)
Ga (0.6667, 0.3333, 0.7740) (multiplicity 1)
Ni (0.6667, 0.3333, 0.2040) (multiplicity 1)

Peak list (10 most intense, 5° ≤ 2θ ≤ 70°, low angle first)
(hkl)	2theta	d_spacing	I/Imax
0 0 2	23.4	3.805	3
0 1 1	26.8	3.326	5
0 1 2	33.8	2.652	100
1 1 0	42.3	2.135	60
1 0 3	43.3	2.092	11
0 0 4	47.8	1.902	8
2 0 2	55.2	1.663	24
0 2 3	62.1	1.494	4
1 1 4	65.7	1.420	18
0 1 5	66.4	1.407	5

No. 7
YGa4Ni4: simulated powder diffraction line list (Cu Kα), based on a DFT-relaxed cell (GGA-PBE, Alexandria).

Crystal structure
Cell: 7.877 7.877 4.420 Å, 90.00 90.00 90.00°
Space group P4_2/n (No. 86, origin choice 2)
Asymmetric unit:
Y (0.250, 0.250, 0.250) (multiplicity 2)
Ga (0.113, 0.844, 0.744) (multiplicity 8)
Ni (0.022, 0.131, 0.756) (multiplicity 8)

Peak list (10 most intense, 5° ≤ 2θ ≤ 70°, low angle first)
(hkl)	2theta	d_spacing	I/Imax
2 1 1	32.5	2.755	46
3 1 0	36.1	2.491	68
3 0 1	39.9	2.257	58
0 0 2	40.8	2.210	56
2 3 1	46.4	1.959	100
2 4 0	51.9	1.761	10
3 1 2	55.6	1.653	37
1 5 0	59.9	1.545	13
5 2 1	67.4	1.389	11
2 4 2	68.1	1.377	9

No. 8
Y3Ga8Ni3: simulated powder diffraction line list (Cu Kα), based on a DFT-relaxed cell (GGA-PBE, Alexandria).

Crystal structure
Cell: 15.561 4.187 9.493 Å, 90.00 126.95 90.00°
Space group Cm (No. 8)
Asymmetric unit:
Y (0.000, 0.000, 0.000) (multiplicity 2)
Y (0.123, 0.500, 0.620) (multiplicity 2)
Y (0.300, 0.000, 0.290) (multiplicity 2)
Ga (0.152, 0.000, 0.885) (multiplicity 2)
Ga (0.155, 0.000, 0.415) (multiplicity 2)
Ga (0.306, 0.500, 0.027) (multiplicity 2)
Ga (0.307, 0.500, 0.585) (multiplicity 2)
Ga (0.308, 0.000, 0.807) (multiplicity 2)
Ga (0.463, 0.000, 0.731) (multiplicity 2)
Ga (0.465, 0.500, 0.560) (multiplicity 2)
Ga (0.467, 0.000, 0.197) (multiplicity 2)
Ni (0.146, 0.500, 0.011) (multiplicity 2)
Ni (0.152, 0.500, 0.278) (multiplicity 2)
Ni (0.469, 0.500, 0.317) (multiplicity 2)

Peak list (10 most intense, 5° ≤ 2θ ≤ 70°, low angle first)
(hkl)	2theta	d_spacing	I/Imax
3 1 -3	35.5	2.526	41
1 1 2	35.7	2.512	99
5 1 -2	36.0	2.494	100
4 0 -4	37.9	2.373	19
5 1 -3	38.6	2.332	16
0 2 0	43.2	2.093	59
6 0 0	43.7	2.073	47
4 2 -4	58.8	1.570	14
6 2 0	63.1	1.473	30
3 1 -6	66.9	1.398	16

No. 9
Y2Ga5Ni5: simulated powder diffraction line list (Cu Kα), based on a DFT-relaxed cell (GGA-PBE, Alexandria).

Crystal structure
Cell: 3.882 5.204 9.268 Å, 90.00 90.00 90.00°
Space group Pmmm (No. 47)
Asymmetric unit:
Y (0.000, 0.000, 0.000) (multiplicity 1)
Y (0.000, 0.500, 0.500) (multiplicity 1)
Ga (0.000, 0.000, 0.314) (multiplicity 2)
Ga (0.000, 0.500, 0.167) (multiplicity 2)
Ga (0.500, 0.000, 0.500) (multiplicity 1)
Ni (0.500, 0.256, 0.254) (multiplicity 4)
Ni (0.500, 0.500, 0.000) (multiplicity 1)

Peak list (10 most intense, 5° ≤ 2θ ≤ 70°, low angle first)
(hkl)	2theta	d_spacing	I/Imax
1 1 1	30.3	2.950	23
0 1 3	33.7	2.657	25
0 2 0	34.5	2.602	14
0 0 4	38.9	2.317	20
0 2 2	39.7	2.269	25
1 1 3	41.2	2.192	100
1 2 0	41.8	2.161	47
1 2 2	46.4	1.959	30
2 0 0	46.8	1.941	36
1 3 3	66.3	1.409	23

No. 10
YGa4Ni: simulated powder diffraction line list (Cu Kα), based on a DFT-relaxed cell (GGA-PBE, Alexandria).

Crystal structure
Cell: 4.253 19.242 5.452 Å, 90.00 90.00 90.00°
Space group Cmcm (No. 63)
Asymmetric unit:
Y (0.000, 0.122, 0.250) (multiplicity 4)
Ga (0.000, 0.055, 0.750) (multiplicity 4)
Ga (0.000, 0.288, 0.004) (multiplicity 8)
Ga (0.000, 0.500, 0.000) (multiplicity 4)
Ni (0.000, 0.393, 0.250) (multiplicity 4)

Peak list (10 most intense, 5° ≤ 2θ ≤ 70°, low angle first)
(hkl)	2theta	d_spacing	I/Imax
0 4 1	24.7	3.607	21
1 1 1	27.0	3.303	28
1 5 0	31.3	2.853	71
1 5 1	35.5	2.528	40
0 4 2	37.9	2.372	70
1 1 2	39.5	2.279	53
2 0 0	42.5	2.126	100
1 5 2	46.0	1.971	34
1 9 0	47.6	1.910	28
2 4 2	58.3	1.583	40

No. 11
YGaNi5: simulated powder diffraction line list (Cu Kα), based on a DFT-relaxed cell (GGA-PBE, Alexandria).

Crystal structure
Cell: 7.888 4.825 9.975 Å, 90.00 90.00 90.00°
Space group Pnma (No. 62)
Asymmetric unit:
Y (0.246, 0.250, 0.060) (multiplicity 4)
Ga (0.143, 0.750, 0.859) (multiplicity 4)
Ni (0.054, 0.750, 0.094) (multiplicity 4)
Ni (0.066, 0.005, 0.306) (multiplicity 8)
Ni (0.094, 0.250, 0.517) (multiplicity 4)
Ni (0.186, 0.250, 0.751) (multiplicity 4)

Peak list (10 most intense, 5° ≤ 2θ ≤ 70°, low angle first)
(hkl)	2theta	d_spacing	I/Imax
0 2 0	37.3	2.413	18
1 0 4	37.8	2.378	26
3 1 1	40.1	2.249	100
0 2 2	41.6	2.172	15
3 1 2	43.2	2.095	14
2 2 0	44.0	2.059	16
2 2 1	45.0	2.016	25
4 0 1	47.0	1.933	67
1 2 3	48.0	1.896	30
3 3 1	69.1	1.359	16

No. 12
Y3GaNi3: simulated powder diffraction line list (Cu Kα), based on a DFT-relaxed cell (GGA-PBE, Alexandria).

Crystal structure
Cell: 4.106 9.923 13.237 Å, 90.00 90.00 90.00°
Space group Cmcm (No. 63)
Asymmetric unit:
Y (0.000, 0.004, 0.250) (multiplicity 4)
Y (0.000, 0.287, 0.104) (multiplicity 8)
Ga (0.000, 0.000, 0.000) (multiplicity 4)
Ni (0.000, 0.293, 0.750) (multiplicity 4)
Ni (0.000, 0.423, 0.590) (multiplicity 8)

Peak list (10 most intense, 5° ≤ 2θ ≤ 70°, low angle first)
(hkl)	2theta	d_spacing	I/Imax
1 1 3	31.1	2.877	60
0 2 4	32.5	2.753	39
1 3 0	34.8	2.576	80
1 1 4	36.0	2.494	97
0 4 0	36.2	2.481	24
1 3 3	40.6	2.225	100
0 0 6	40.9	2.206	30
0 4 3	41.8	2.162	45
2 0 0	44.1	2.053	60
2 4 3	62.4	1.489	26